No. 1
For K4SnS4O4, the GGA-PBE geometry in the Materials Project gives the theoretical powder diffraction line list in this record (CuKα).

Atomic structure:
```
K4SnS4O4
1.0
7.7733 0.0000 0.0000
-2.8265 7.5333 0.0000
-0.2078 -0.8829 11.8376
K Sn S O
8 2 8 8
Cartesian
-0.3063 1.5748 1.2467
0.5296 2.1065 5.5838
0.5047 6.0632 7.6961
1.7052 2.9959 9.8623
3.0338 3.6545 1.9753
4.2344 0.5872 4.1416
4.2094 4.5438 6.2539
5.0453 5.0756 10.5909
-0.6211 5.1291 3.3525
5.3601 1.5213 8.4851
-1.0417 3.4410 8.1402
-1.9957 7.2287 3.5358
-0.0385 5.2787 0.9009
1.3965 5.0367 4.6571
3.3425 1.6136 7.1806
4.7775 1.3717 10.9367
6.7347 -0.5783 8.3019
5.7807 3.2094 3.6974
1.5140 0.2554 10.9823
1.7119 1.0389 3.2881
0.7969 3.9962 0.5100
2.5003 -0.3557 10.4206
2.2387 7.0061 1.4170
3.9421 2.6542 11.3276
3.0271 5.6115 8.5495
3.2251 6.3950 0.8553
```

Most intense lines, 2θ from 10° to 90°, in order of rising 2θ:
two_theta	I (rel.)
13.48	31
13.63	39
14.02	55
14.57	47
14.97	37
20.03	47
26.74	100
27.75	65
30.77	60
42.27	42

***

No. 2
For K4Nb8SiP4O34, the GGA-PBE geometry in the Materials Project gives the theoretical powder diffraction line list in this record (CuKα).

Atomic structure:
```
K4Nb8SiP4O34
1.0
10.7812 0.0000 0.0000
0.0000 10.7812 0.0000
0.0000 0.0000 6.5251
K Nb Si P O
4 8 1 4 34
Cartesian
0.0000 0.0000 0.0000
0.0000 5.3906 1.3039
5.3906 0.0000 5.2212
5.3906 5.3906 0.0000
0.0000 3.3787 4.5818
0.0000 7.4025 4.5818
3.3787 0.0000 1.9433
3.4720 3.4720 3.2625
3.4720 7.3091 3.2625
7.3091 3.4720 3.2625
7.3091 7.3091 3.2625
7.4025 0.0000 1.9433
0.0000 0.0000 3.2625
2.8013 2.8013 0.0000
2.8013 7.9798 0.0000
7.9798 2.8013 0.0000
7.9798 7.9798 0.0000
0.0000 1.3519 4.2325
0.0000 5.3906 4.9175
0.0000 9.4293 4.2325
1.3147 3.0792 6.2591
1.3147 7.7020 6.2591
1.3519 0.0000 2.2926
1.4764 3.5311 3.4035
1.4764 7.2501 3.4035
3.0792 1.3147 0.2660
3.0792 9.4665 0.2660
3.2735 3.6535 1.2187
3.2735 7.1277 1.2187
3.4991 5.3906 3.4464
3.5311 1.4764 3.1216
3.5311 9.3048 3.1216
3.6535 3.2735 5.3064
3.6535 7.5076 5.3064
5.3906 0.0000 1.6075
5.3906 3.4991 3.0787
5.3906 7.2821 3.0787
7.1277 3.2735 5.3064
7.1277 7.5076 5.3064
7.2501 1.4764 3.1216
7.2501 9.3048 3.1216
7.2821 5.3906 3.4464
7.5076 3.6535 1.2187
7.5076 7.1277 1.2187
7.7020 1.3147 0.2660
7.7020 9.4665 0.2660
9.3048 3.5311 3.4035
9.3048 7.2501 3.4035
9.4293 0.0000 2.2926
9.4665 3.0792 6.2591
9.4665 7.7020 6.2591
```

Most intense lines, 2θ from 10° to 90°, in order of rising 2θ:
two_theta	I (rel.)
13.57	27
15.88	44
21.38	48
24.77	100
28.35	33
29.56	17
29.80	20
32.07	24
32.95	26
50.79	27

***

No. 3
For Ca6Sn5S16, the GGA-PBE geometry in the Materials Project gives the theoretical powder diffraction line list in this record (CuKα).

Atomic structure:
```
Ca6Sn5S16
1.0
-2.5012 2.5012 26.6193
2.5012 -2.5012 26.6193
2.5012 2.5012 -26.6193
Ca Sn S
6 5 16
Cartesian
0.0000 0.0000 2.4346
0.0000 0.0000 7.0193
0.0000 0.0000 11.3484
0.0000 0.0000 41.8902
0.0000 0.0000 46.2193
0.0000 0.0000 50.8040
0.0000 0.0000 16.4572
0.0000 0.0000 21.5896
0.0000 0.0000 26.6193
0.0000 0.0000 31.6489
0.0000 0.0000 36.7814
2.5012 0.0000 0.0000
2.5012 0.0000 4.7892
2.5012 0.0000 9.5969
0.0000 0.0000 14.0913
2.5012 0.0000 17.0223
0.0000 0.0000 19.1729
2.5012 0.0000 21.8301
0.0000 0.0000 24.1418
0.0000 2.5012 0.0000
0.0000 0.0000 29.0968
0.0000 2.5012 4.7892
0.0000 0.0000 34.0656
0.0000 2.5012 9.5969
0.0000 0.0000 39.1472
0.0000 2.5012 17.0223
0.0000 2.5012 21.8301
```

Most intense lines, 2θ from 10° to 90°, in order of rising 2θ:
two_theta	I (rel.)
16.65	53
17.81	79
25.18	69
25.61	82
35.90	100
39.86	48
44.62	39
51.68	33
52.63	33
54.71	48

***

No. 4
For Ta4NiP, the GGA-PBE geometry in the Materials Project gives the theoretical powder diffraction line list in this record (CuKα).

Atomic structure:
```
Ta4NiP
1.0
6.1588 0.0000 0.0000
0.0000 6.1588 0.0000
0.0000 0.0000 4.9728
Ta Ni P
8 2 2
Cartesian
0.9990 2.0780 0.0000
0.9990 4.0809 2.4864
2.0780 0.9990 2.4864
2.0780 5.1598 0.0000
4.0809 0.9990 0.0000
4.0809 5.1598 2.4864
5.1598 2.0780 2.4864
5.1598 4.0809 0.0000
3.0794 3.0794 1.2432
3.0794 3.0794 3.7296
0.0000 0.0000 1.2432
0.0000 0.0000 3.7296
```

Most intense lines, 2θ from 10° to 90°, in order of rising 2θ:
two_theta	I (rel.)
29.00	8
36.13	18
37.32	100
41.84	10
46.64	20
46.97	15
65.22	16
65.75	19
75.90	14
87.53	11

***

No. 5
For RbSmO2, the GGA-PBE geometry in the Materials Project gives the theoretical powder diffraction line list in this record (CuKα).

Atomic structure:
```
RbSmO2
1.0
1.8069 1.0432 6.5995
-1.8069 1.0432 6.5995
0.0000 -2.0865 6.5995
Rb Sm O
1 1 2
Cartesian
0.0000 0.0000 0.0000
0.0000 0.0000 9.8993
0.0000 0.0000 4.4799
0.0000 0.0000 15.3186
```

Most intense lines, 2θ from 10° to 90°, in order of rising 2θ:
two_theta	I (rel.)
13.42	27
27.02	40
29.94	82
33.89	100
46.80	35
50.51	32
54.87	20
58.21	29
62.22	16
84.14	19

***

No. 6
For YMg14AlO16, the GGA-PBE geometry in the Materials Project gives the theoretical powder diffraction line list in this record (CuKα).

Atomic structure:
```
YMg14AlO16
1.0
8.7160 0.0000 0.0000
0.0000 8.7160 0.0000
0.0000 0.0000 4.3799
Y Mg Al O
1 14 1 16
Cartesian
0.0000 0.0000 0.0000
0.0000 2.2794 2.1899
0.0000 4.3580 0.0000
0.0000 6.4367 2.1899
2.1833 4.3580 2.1899
2.2322 2.2322 0.0000
2.2322 6.4838 0.0000
2.2794 0.0000 2.1899
4.3580 0.0000 0.0000
4.3580 2.1833 2.1899
4.3580 6.5328 2.1899
6.4367 0.0000 2.1899
6.4838 2.2322 0.0000
6.4838 6.4838 0.0000
6.5328 4.3580 2.1899
4.3580 4.3580 0.0000
0.0000 0.0000 2.1899
0.0000 2.2696 0.0000
0.0000 4.3580 2.1899
0.0000 6.4464 0.0000
2.1652 2.1652 2.1899
2.1652 6.5508 2.1899
2.1823 4.3580 0.0000
2.2696 0.0000 0.0000
4.3580 0.0000 2.1899
4.3580 2.1823 0.0000
4.3580 4.3580 2.1899
4.3580 6.5338 0.0000
6.4464 0.0000 0.0000
6.5338 4.3580 0.0000
6.5508 2.1652 2.1899
6.5508 6.5508 2.1899
```

Most intense lines, 2θ from 10° to 90°, in order of rising 2θ:
two_theta	I (rel.)
10.15	16
22.77	14
30.73	12
35.62	26
41.22	51
41.44	100
59.88	58
60.05	28
71.81	10
75.44	26

***

No. 7
For SrAcZn2, the GGA-PBE geometry in the Materials Project gives the theoretical powder diffraction line list in this record (CuKα).

Atomic structure:
```
SrAcZn2
1.0
0.0000 3.9156 3.9156
3.9156 0.0000 3.9156
3.9156 3.9156 0.0000
Sr Ac Zn
1 1 2
Cartesian
0.0000 0.0000 0.0000
3.9156 3.9156 3.9156
1.9578 1.9578 1.9578
5.8734 5.8734 5.8734
```

Most intense lines, 2θ from 10° to 90°, in order of rising 2θ:
two_theta	I (rel.)
19.63	19
22.71	16
32.33	100
38.11	11
39.88	5
46.38	18
52.24	7
57.67	38
67.68	12
77.01	16

***

No. 8
For MgPa3, the GGA-PBE geometry in the Materials Project gives the theoretical powder diffraction line list in this record (CuKα).

Atomic structure:
```
MgPa3
1.0
-2.2922 2.2922 4.5847
2.2922 -2.2922 4.5847
2.2922 2.2922 -4.5847
Mg Pa
1 3
Cartesian
0.0000 0.0000 0.0000
2.2922 0.0000 2.2924
0.0000 0.0000 4.5847
0.0000 2.2922 2.2924
```

Most intense lines, 2θ from 10° to 90°, in order of rising 2θ:
two_theta	I (rel.)
19.36	8
21.67	24
27.51	7
33.87	100
35.29	7
39.30	50
45.32	7
56.80	35
67.79	42
71.25	12

***

No. 9
For MnGa2N3, the GGA-PBE geometry in the Materials Project gives the theoretical powder diffraction line list in this record (CuKα).

Atomic structure:
```
MnGa2N3
1.0
4.9002 -2.7833 0.0000
4.9002 2.7833 0.0000
0.0000 0.0000 5.2082
Mn Ga N
2 4 6
Cartesian
4.9002 1.9160 2.6041
4.9002 -1.9160 0.0000
3.2509 0.9146 0.0144
3.2509 -0.9146 2.6184
6.5496 0.9146 0.0144
6.5496 -0.9146 2.6184
3.2491 0.9378 1.9775
4.9002 1.8060 4.5274
3.2491 -0.9378 4.5816
6.5514 0.9378 1.9775
4.9002 -1.8060 1.9234
6.5514 -0.9378 4.5816
```

Most intense lines, 2θ from 10° to 90°, in order of rising 2θ:
two_theta	I (rel.)
31.76	51
32.16	20
34.44	55
36.25	100
36.61	55
47.55	23
56.32	17
57.09	31
62.88	31
68.40	26

***

No. 10
For Cd13I28, the GGA-PBE geometry in the Materials Project gives the theoretical powder diffraction line list in this record (CuKα).

Atomic structure:
```
Cd13I28
1.0
4.3388 0.0000 0.0000
-2.1694 3.7575 0.0000
0.0000 0.0000 102.4297
Cd I
13 28
Cartesian
0.0000 0.0000 0.0000
0.0000 0.0000 7.3127
0.0000 0.0000 14.6371
0.0000 0.0000 43.9017
0.0000 0.0000 58.5272
0.0000 0.0000 73.1678
0.0000 0.0000 87.7976
2.1694 1.2525 21.9921
2.1694 1.2525 36.5376
2.1694 1.2525 51.2167
2.1694 1.2525 65.8472
2.1694 1.2525 80.4845
2.1694 1.2525 95.1158
0.0000 0.0000 20.2603
0.0000 0.0000 34.8114
0.0000 0.0000 49.4911
0.0000 0.0000 64.1249
0.0000 0.0000 78.7549
0.0000 0.0000 93.3904
0.0000 2.5050 1.7314
0.0000 2.5050 9.0427
0.0000 2.5050 16.3599
0.0000 2.5050 23.7152
0.0000 2.5050 30.4741
0.0000 2.5050 38.2671
0.0000 2.5050 45.6245
0.0000 2.5050 52.9415
0.0000 2.5050 60.2583
0.0000 2.5050 67.5748
0.0000 2.5050 74.8887
0.0000 2.5050 82.2057
0.0000 2.5050 89.5245
0.0000 2.5050 96.8405
2.1694 1.2525 5.5951
2.1694 1.2525 12.9086
2.1694 1.2525 28.0776
2.1694 1.2525 42.1763
2.1694 1.2525 56.8101
2.1694 1.2525 71.4402
2.1694 1.2525 86.0744
2.1694 1.2525 100.7129
```

Most intense lines, 2θ from 10° to 90°, in order of rising 2θ:
two_theta	I (rel.)
12.10	53
26.67	100
30.02	45
34.21	21
39.01	26
41.63	52
44.28	23
50.13	17
66.92	21
67.14	14